(1)
Diffraction record for Fe2Hg. The powder diffractogram is theoretical, not measured: it uses a structure optimized by DFT (PBE) and a wavelength of 1.5418 Å.
Peak positions follow from Bragg's law for the DFT cell and can differ from measured ones.

Structure:
```
Fe2Hg
1.0
3.021 0.000 0.000
0.000 3.029 0.000
0.014 0.037 9.997
Fe Hg
4 2
Cartesian
0.755 0.756 1.921
0.770 0.795 9.298
2.266 2.272 0.699
2.281 2.311 8.077
0.770 0.797 6.218
2.265 2.270 3.780
```

Main lines, low angle first (10 to 90 degrees two-theta):
(0 1 1), 30.9°, d = 2.897 Å, rel. 41
(0 1 2), 34.6°, d = 2.595 Å, rel. 33
(1 0 2), 34.7°, d = 2.586 Å, rel. 96
(0 0 4), 35.9°, d = 2.499 Å, rel. 32
(0 1 3), 40.2°, d = 2.246 Å, rel. 30
(0 1 -3), 40.3°, d = 2.238 Å, rel. 94
(1 1 0), 42.2°, d = 2.139 Å, rel. 100
(1 0 6), 63.8°, d = 1.459 Å, rel. 20
(2 1 2), 72.4°, d = 1.305 Å, rel. 20
(1 2 -3), 75.9°, d = 1.253 Å, rel. 19



(2)
Diffraction record for La2Nd5Tl4. The powder diffractogram is theoretical, not measured: it uses a structure optimized by DFT (PBE) and a wavelength of 1.5418 Å.
Peak positions follow from Bragg's law for the DFT cell and can differ from measured ones.

Structure:
```
La2Nd5Tl4
1.0
8.876 0.000 0.000
0.000 3.577 0.000
-1.101 0.000 10.815
La Nd Tl
2 5 4
Cartesian
0.572 0.000 1.460
7.203 0.000 9.355
0.725 0.000 6.934
3.904 0.000 1.803
3.887 0.000 5.407
3.871 0.000 9.011
7.050 0.000 3.881
1.365 1.789 4.150
1.235 1.789 9.936
6.540 1.789 0.879
6.410 1.789 6.664
```

Main lines, low angle first (10 to 90 degrees two-theta):
(3 0 0), 30.4°, d = 2.943 Å, rel. 26
(1 1 -2), 31.1°, d = 2.876 Å, rel. 45
(1 1 2), 32.2°, d = 2.780 Å, rel. 100
(0 0 4), 33.1°, d = 2.703 Å, rel. 38
(1 0 -4), 33.7°, d = 2.662 Å, rel. 37
(2 1 -2), 35.4°, d = 2.539 Å, rel. 32
(3 0 2), 36.2°, d = 2.483 Å, rel. 18
(0 2 0), 51.1°, d = 1.789 Å, rel. 16
(0 1 6), 57.2°, d = 1.609 Å, rel. 21
(1 2 -4), 62.6°, d = 1.484 Å, rel. 16



(3)
Diffraction record for Ca4V. The powder diffractogram is theoretical, not measured: it uses a structure optimized by DFT (PBE) and a wavelength of 1.5418 Å.
Peak positions follow from Bragg's law for the DFT cell and can differ from measured ones.

Structure:
```
Ca4V
1.0
5.895 0.000 0.000
0.000 5.895 0.000
0.000 0.000 5.895
Ca V
4 1
Cartesian
0.000 0.000 0.000
0.000 2.947 2.947
2.947 0.000 2.947
2.947 2.947 0.000
2.947 2.947 2.947
```

Main lines, low angle first (10 to 90 degrees two-theta):
(1 0 0), 15.0°, d = 5.895 Å, rel. 31
(1 1 0), 21.3°, d = 4.168 Å, rel. 26
(1 1 1), 26.2°, d = 3.403 Å, rel. 58
(2 0 0), 30.3°, d = 2.947 Å, rel. 100
(2 1 0), 34.0°, d = 2.636 Å, rel. 15
(2 2 0), 43.4°, d = 2.084 Å, rel. 69
(3 1 1), 51.4°, d = 1.777 Å, rel. 23
(2 2 2), 53.9°, d = 1.702 Å, rel. 23
(4 2 0), 71.6°, d = 1.318 Å, rel. 27
(4 2 2), 79.7°, d = 1.203 Å, rel. 19



(4)
Diffraction record for Co5Pt. The powder diffractogram is theoretical, not measured: it uses a structure optimized by DFT (PBE) and a wavelength of 1.5418 Å.
Peak positions follow from Bragg's law for the DFT cell and can differ from measured ones.

Structure:
```
Co5Pt
1.0
4.116 0.000 0.000
0.000 2.600 0.000
0.000 0.000 13.277
Co Pt
10 2
Cartesian
0.000 0.000 0.000
0.000 0.000 4.235
0.000 0.000 8.749
0.000 1.300 2.111
0.000 1.300 6.639
0.000 1.300 10.873
2.058 0.000 2.777
2.058 0.000 7.349
2.058 1.300 0.710
2.058 1.300 9.416
2.058 0.000 11.706
2.058 1.300 5.068
```

Main lines, low angle first (10 to 90 degrees two-theta):
(0 0 2), 13.3°, d = 6.639 Å, rel. 33
(1 0 0), 21.6°, d = 4.116 Å, rel. 15
(1 0 2), 25.5°, d = 3.498 Å, rel. 21
(1 0 4), 34.7°, d = 2.584 Å, rel. 14
(0 1 3), 40.2°, d = 2.242 Å, rel. 28
(2 0 0), 44.0°, d = 2.058 Å, rel. 36
(1 1 3), 46.1°, d = 1.969 Å, rel. 100
(1 0 6), 46.6°, d = 1.949 Å, rel. 46
(2 1 3), 61.1°, d = 1.516 Å, rel. 16
(3 1 3), 82.4°, d = 1.170 Å, rel. 17



(5)
Diffraction record for CsS2Cl4. The powder diffractogram is theoretical, not measured: it uses a structure optimized by DFT (PBE) and a wavelength of 1.5418 Å.
Peak positions follow from Bragg's law for the DFT cell and can differ from measured ones.

Structure:
```
CsS2Cl4
1.0
6.679 0.000 0.000
2.912 7.280 0.000
3.025 2.533 10.768
Cs S Cl
2 4 8
Cartesian
0.000 0.000 0.000
6.900 7.153 4.548
3.091 2.754 2.213
9.648 7.862 8.744
7.874 2.910 2.554
10.400 6.361 7.440
5.262 8.331 7.493
4.949 5.027 8.616
4.171 3.442 3.940
6.336 3.267 10.122
8.057 6.936 9.675
7.395 5.052 1.814
8.760 5.020 7.216
10.266 7.806 3.460
```

Main lines, low angle first (10 to 90 degrees two-theta):
(0 1 0), 12.5°, d = 7.087 Å, rel. 61
(0 0 2), 16.5°, d = 5.383 Å, rel. 57
(0 1 2), 18.3°, d = 4.856 Å, rel. 60
(0 1 -2), 22.9°, d = 3.880 Å, rel. 58
(1 -1 1), 23.7°, d = 3.759 Å, rel. 62
(0 2 1), 24.6°, d = 3.623 Å, rel. 64
(1 2 0), 24.7°, d = 3.598 Å, rel. 100
(0 1 3), 25.1°, d = 3.546 Å, rel. 84
(2 1 0), 27.9°, d = 3.199 Å, rel. 68
(0 2 3), 31.1°, d = 2.873 Å, rel. 81



(6)
Diffraction record for Nd3BiPt. The powder diffractogram is theoretical, not measured: it uses a structure optimized by DFT (PBE) and a wavelength of 1.5418 Å.
Peak positions follow from Bragg's law for the DFT cell and can differ from measured ones.

Structure:
```
Nd3BiPt
1.0
5.578 0.000 0.000
2.776 6.438 0.000
2.783 2.052 8.751
Nd Bi Pt
6 2 2
Cartesian
1.394 1.238 0.601
4.169 2.058 5.821
4.168 3.711 2.383
6.969 4.779 6.368
6.968 6.432 2.930
9.743 7.252 8.150
4.180 5.819 4.977
6.957 2.670 3.775
6.955 6.925 8.406
4.183 1.565 0.345
```

Main lines, low angle first (10 to 90 degrees two-theta):
(1 -1 1), 28.0°, d = 3.182 Å, rel. 30
(1 2 0), 28.1°, d = 3.177 Å, rel. 29
(1 1 3), 29.6°, d = 3.019 Å, rel. 48
(0 1 3), 30.7°, d = 2.914 Å, rel. 36
(0 2 2), 31.1°, d = 2.878 Å, rel. 98
(2 1 1), 32.1°, d = 2.789 Å, rel. 100
(1 -1 2), 33.2°, d = 2.697 Å, rel. 73
(0 1 -3), 36.8°, d = 2.440 Å, rel. 29
(1 0 -3), 38.6°, d = 2.332 Å, rel. 38
(-2 1 1), 45.3°, d = 2.003 Å, rel. 70